This entry pairs a crystal structure of Li2HfCo3O6 with its simulated powder diffraction line list. Radiation: Cu Kα X-rays. Structure: a structure optimized by DFT (PBE+U).
Kinematic intensities with the Lorentz-polarization factor, no thermal factor.

Largest 10 diffraction maxima, in order of rising 2θ, 10° ≤ 2θ ≤ 80°:
| h k l | d_spacing | I (rel.) |
| --- | --- | --- |
| 0 2 0 | 4.563 | 31 |
| 1 1 0 | 4.357 | 58 |
| 1 1 -1 | 3.879 | 47 |
| 0 2 1 | 3.345 | 33 |
| 1 1 1 | 2.868 | 21 |
| 2 0 0 | 2.480 | 66 |
| 0 0 2 | 2.459 | 17 |
| 2 0 -2 | 2.143 | 100 |
| 3 3 -1 | 1.520 | 30 |
| 2 0 2 | 1.511 | 30 |

Structure:
```
data_Li2HfCo3O6
_cell_length_a 5.2644
_cell_length_b 9.1267
_cell_length_c 5.2225
_cell_angle_alpha 90.00
_cell_angle_beta 109.63
_cell_angle_gamma 90.00
_space_group_name_H-M_alt 'C 1 2/m 1'
_space_group_IT_number 12
loop_
_space_group_symop_operation_xyz
'x,y,z'
'-x,-y,-z'
'-x,y,-z'
'x,-y,z'
'x+1/2,y+1/2,z'
'-x+1/2,-y+1/2,-z'
'-x+1/2,y+1/2,-z'
'x+1/2,-y+1/2,z'
loop_
_atom_site_label
_atom_site_type_symbol
_atom_site_fract_x
_atom_site_fract_y
_atom_site_fract_z
Li1 Li 0.0000 0.1665 0.0000
Hf1 Hf 0.0000 0.5000 0.0000
Co1 Co 0.0000 0.0000 0.5000
Co2 Co 0.0000 0.3275 0.5000
O1 O 0.2374 0.5000 0.7485
O2 O 0.2465 0.3380 0.2481
```